# 1
The following is a calculated powder diffraction line list of TiMn3Co2P6O24. It was derived from a structure optimized by DFT (GGA+U), using Cu Kα.

Atomic structure:
```
data_TiMn3Co2P6O24
_symmetry_space_group_name_H-M 'R 3'
_symmetry_Int_Tables_number 146
_symmetry_space_group_name_Hall 'R 3'
_cell_length_a 8.6614
_cell_length_b 8.6614
_cell_length_c 20.6333
_cell_angle_alpha 90.00
_cell_angle_beta 90.00
_cell_angle_gamma 120.00
loop_
_atom_site_label
_atom_site_type_symbol
_atom_site_fract_x
_atom_site_fract_y
_atom_site_fract_z
Ti1 Ti 0.0000 0.0000 0.0000
Mn1 Mn 0.0000 0.0000 0.2875
Mn2 Mn 0.0000 0.0000 0.5008
Mn3 Mn 0.0000 0.0000 0.7869
Co1 Co 0.0000 0.0000 0.1436
Co2 Co 0.0000 0.0000 0.6447
P1 P 0.0003 0.7054 0.3940
P2 P 0.0008 0.2966 0.8932
O1 O 0.0028 0.7998 0.4562
O2 O 0.0108 0.1934 0.9531
O3 O 0.0130 0.8342 0.0668
O4 O 0.0191 0.1849 0.5720
O5 O 0.1328 0.4630 0.4976
O6 O 0.1354 0.6686 0.9984
O7 O 0.1673 0.6808 0.3848
O8 O 0.1685 0.4873 0.8860
```

Main lines, most intense first (2θ from 10° to 90°):
hkl 2 -1 3, d = 3.665 Å, 2θ 24.29, intensity 100; hkl 1 1 0, d = 4.331 Å, 2θ 20.51, intensity 80; hkl 1 1 6, d = 2.693 Å, 2θ 33.27, intensity 67; hkl 3 0 0, d = 2.500 Å, 2θ 35.92, intensity 38; hkl 1 2 8, d = 1.908 Å, 2θ 47.67, intensity 31; hkl 2 2 6, d = 1.832 Å, 2θ 49.76, intensity 26

***

# 2
The following is a calculated powder diffraction line list of VCd2PO7. It was derived from a structure optimized by DFT (GGA+U), using Cu Kα.

Atomic structure:
```
data_VCd2PO7
_symmetry_space_group_name_H-M 'P 1 21 1'
_symmetry_Int_Tables_number 4
_cell_length_a 4.850
_cell_length_b 11.013
_cell_length_c 5.755
_cell_angle_alpha 90.00
_cell_angle_beta 97.45
_cell_angle_gamma 90.00
loop_
_symmetry_equiv_pos_as_xyz
'x,y,z'
'-x,y+1/2,-z'
loop_
_atom_site_label
_atom_site_type_symbol
_atom_site_fract_x
_atom_site_fract_y
_atom_site_fract_z
V1 V 0.141 0.000 0.103
Cd1 Cd 0.388 0.546 0.346
Cd2 Cd 0.391 0.741 0.840
P1 P 0.149 0.281 0.596
O1 O 0.014 0.384 0.738
O2 O 0.091 0.696 0.504
O3 O 0.117 0.598 0.011
O4 O 0.280 0.345 0.397
O5 O 0.296 0.937 0.876
O6 O 0.368 0.216 0.773
O7 O 0.393 0.075 0.287
```

Main lines, most intense first (2θ from 10° to 90°):
hkl 1 2 -1, d = 3.203 Å, 2θ 27.86, intensity 100; hkl 1 1 1, d = 3.303 Å, 2θ 26.99, intensity 57; hkl 0 1 2, d = 2.762 Å, 2θ 32.42, intensity 28; hkl 1 0 0, d = 4.809 Å, 2θ 18.45, intensity 18; hkl 1 4 -1, d = 2.255 Å, 2θ 39.97, intensity 18; hkl 1 3 1, d = 2.519 Å, 2θ 35.64, intensity 17

***

# 3
The following is a calculated powder diffraction line list of CaMn3V4O12. It was derived from a structure optimized by DFT (GGA+U), using Cu Kα.

Atomic structure:
```
data_CaMn3V4O12
_symmetry_space_group_name_H-M 'P 1'
_symmetry_Int_Tables_number 1
_cell_length_a 7.512
_cell_length_b 7.555
_cell_length_c 7.561
_cell_angle_alpha 90.14
_cell_angle_beta 90.23
_cell_angle_gamma 90.07
loop_
_symmetry_equiv_pos_as_xyz
'x,y,z'
loop_
_atom_site_label
_atom_site_type_symbol
_atom_site_fract_x
_atom_site_fract_y
_atom_site_fract_z
Ca1 Ca 0.000 0.000 0.000
Ca2 Ca 0.499 0.500 0.499
Mn1 Mn 0.001 0.999 0.499
Mn2 Mn 0.498 0.501 0.999
Mn3 Mn 0.499 0.000 0.000
Mn4 Mn 0.505 0.000 0.500
Mn5 Mn 0.991 0.500 0.999
Mn6 Mn 0.999 0.500 0.498
V1 V 0.248 0.250 0.749
V2 V 0.249 0.250 0.249
V3 V 0.249 0.750 0.749
V4 V 0.250 0.750 0.250
V5 V 0.749 0.250 0.249
V6 V 0.749 0.250 0.749
V7 V 0.749 0.750 0.749
V8 V 0.750 0.750 0.250
O1 O 0.004 0.294 0.189
O2 O 0.007 0.707 0.193
O3 O 0.188 0.999 0.295
O4 O 0.198 0.008 0.706
O5 O 0.201 0.310 0.500
O6 O 0.202 0.695 0.508
O7 O 0.297 0.804 0.991
O8 O 0.298 0.190 0.999
O9 O 0.302 0.492 0.792
O10 O 0.311 0.500 0.204
O11 O 0.491 0.795 0.309
O12 O 0.495 0.205 0.311
O13 O 0.504 0.793 0.688
O14 O 0.507 0.206 0.692
O15 O 0.691 0.500 0.799
O16 O 0.697 0.508 0.205
O17 O 0.701 0.811 0.000
O18 O 0.703 0.194 0.008
O19 O 0.795 0.306 0.491
O20 O 0.797 0.689 0.499
O21 O 0.801 0.992 0.295
O22 O 0.809 0.000 0.700
O23 O 0.992 0.293 0.806
O24 O 0.995 0.708 0.811
```

Main lines, most intense first (2θ from 10° to 90°):
hkl 2 0 -2, d = 2.671 Å, 2θ 33.55, intensity 100; hkl 2 0 2, d = 2.662 Å, 2θ 33.67, intensity 97; hkl 0 4 0, d = 1.890 Å, 2θ 48.16, intensity 46; hkl -4 2 2, d = 1.538 Å, 2θ 60.15, intensity 31; hkl -2 2 4, d = 1.543 Å, 2θ 59.94, intensity 24; hkl 2 -4 2, d = 1.541 Å, 2θ 60.02, intensity 23

***

# 4
The following is a calculated powder diffraction line list of Li9Mn2Co5O16. It was derived from a structure optimized by DFT (GGA+U), using Cu Kα.

Atomic structure:
```
data_Li9Mn2Co5O16
_symmetry_space_group_name_H-M 'P 1'
_symmetry_Int_Tables_number 1
_cell_length_a 5.909
_cell_length_b 6.437
_cell_length_c 7.871
_cell_angle_alpha 85.97
_cell_angle_beta 75.68
_cell_angle_gamma 76.79
loop_
_symmetry_equiv_pos_as_xyz
'x,y,z'
loop_
_atom_site_label
_atom_site_type_symbol
_atom_site_fract_x
_atom_site_fract_y
_atom_site_fract_z
Li1 Li 0.000 0.000 0.000
Li2 Li 0.062 0.127 0.633
Li3 Li 0.187 0.369 0.876
Li4 Li 0.304 0.634 0.121
Li5 Li 0.443 0.877 0.369
Li6 Li 0.566 0.125 0.629
Li7 Li 0.688 0.369 0.874
Li8 Li 0.823 0.638 0.123
Li9 Li 0.927 0.880 0.363
Mn1 Mn 0.121 0.254 0.246
Mn2 Mn 0.372 0.754 0.752
Co1 Co 0.252 0.502 0.499
Co2 Co 0.497 0.002 0.999
Co3 Co 0.625 0.249 0.245
Co4 Co 0.751 0.502 0.498
Co5 Co 0.880 0.752 0.756
O1 O 0.022 0.552 0.319
O2 O 0.111 0.690 0.925
O3 O 0.171 0.795 0.583
O4 O 0.231 0.960 0.183
O5 O 0.286 0.047 0.804
O6 O 0.330 0.213 0.414
O7 O 0.393 0.300 0.064
O8 O 0.485 0.453 0.678
O9 O 0.519 0.543 0.319
O10 O 0.583 0.706 0.918
O11 O 0.650 0.795 0.565
O12 O 0.711 0.961 0.188
O13 O 0.766 0.041 0.818
O14 O 0.858 0.205 0.435
O15 O 0.909 0.310 0.089
O16 O 0.981 0.462 0.680
```

Main lines, most intense first (2θ from 10° to 90°):
hkl 0 1 -1, d = 4.807 Å, 2θ 18.46, intensity 100; hkl 2 0 3, d = 2.152 Å, 2θ 41.97, intensity 31; hkl 2 1 -2, d = 2.027 Å, 2θ 44.71, intensity 25; hkl 0 3 1, d = 2.022 Å, 2θ 44.83, intensity 25; hkl 0 2 2, d = 2.440 Å, 2θ 36.84, intensity 23; hkl 4 1 1, d = 1.474 Å, 2θ 63.07, intensity 22

***

# 5
The following is a calculated powder diffraction line list of MgVO2F. It was derived from a structure optimized by DFT (GGA+U), using Cu Kα.

Atomic structure:
```
data_MgVO2F
_symmetry_space_group_name_H-M 'P 1'
_symmetry_Int_Tables_number 1
_cell_length_a 3.710
_cell_length_b 4.002
_cell_length_c 5.693
_cell_angle_alpha 108.02
_cell_angle_beta 108.76
_cell_angle_gamma 90.00
loop_
_symmetry_equiv_pos_as_xyz
'x,y,z'
loop_
_atom_site_label
_atom_site_type_symbol
_atom_site_fract_x
_atom_site_fract_y
_atom_site_fract_z
Mg1 Mg 0.000 0.000 0.000
V1 V 0.381 0.404 0.759
O1 O 0.422 0.924 0.841
O2 O 0.950 0.453 0.899
F1 F 0.194 0.173 0.379
```

Main lines, most intense first (2θ from 10° to 90°):
hkl 0 0 1, d = 5.095 Å, 2θ 17.41, intensity 100; hkl 1 0 -1, d = 3.486 Å, 2θ 25.55, intensity 46; hkl 1 1 -1, d = 2.719 Å, 2θ 32.94, intensity 28; hkl 0 1 -1, d = 3.663 Å, 2θ 24.30, intensity 26; hkl 0 2 -1, d = 1.999 Å, 2θ 45.38, intensity 22; hkl 0 1 0, d = 3.782 Å, 2θ 23.52, intensity 18

***

# 6
The following is a calculated powder diffraction line list of Ta2Zn2CrO8. It was derived from a structure optimized by DFT (GGA+U), using Cu Kα.

Atomic structure:
```
data_Ta2Zn2CrO8
_symmetry_space_group_name_H-M 'P -1'
_symmetry_Int_Tables_number 2
_cell_length_a 5.286
_cell_length_b 6.021
_cell_length_c 10.144
_cell_angle_alpha 104.41
_cell_angle_beta 90.88
_cell_angle_gamma 91.08
loop_
_symmetry_equiv_pos_as_xyz
'x,y,z'
'-x,-y,-z'
loop_
_atom_site_label
_atom_site_type_symbol
_atom_site_fract_x
_atom_site_fract_y
_atom_site_fract_z
Ta1 Ta 0.225 0.469 0.234
Ta2 Ta 0.271 0.220 0.764
Zn1 Zn 0.232 0.063 0.435
Zn2 Zn 0.268 0.630 0.558
Cr1 Cr 0.247 0.855 0.002
O1 O 0.062 0.703 0.146
O2 O 0.071 0.420 0.641
O3 O 0.072 0.212 0.122
O4 O 0.142 0.952 0.613
O5 O 0.359 0.344 0.388
O6 O 0.412 0.060 0.883
O7 O 0.430 0.788 0.361
O8 O 0.447 0.518 0.852
```

Main lines, most intense first (2θ from 10° to 90°):
hkl 2 0 0, d = 2.642 Å, 2θ 33.93, intensity 100; hkl 1 -2 1, d = 2.633 Å, 2θ 34.05, intensity 90; hkl 1 2 -1, d = 2.593 Å, 2θ 34.59, intensity 87; hkl 1 1 2, d = 2.804 Å, 2θ 31.92, intensity 85; hkl 0 0 2, d = 4.911 Å, 2θ 18.06, intensity 81; hkl 1 -1 3, d = 2.739 Å, 2θ 32.69, intensity 77

***

# 7
The following is a calculated powder diffraction line list of Li2MnVP3O12. It was derived from a structure optimized by DFT (GGA+U), using Cu Kα.

Atomic structure:
```
data_Li2MnVP3O12
_symmetry_space_group_name_H-M 'P 1'
_symmetry_Int_Tables_number 1
_cell_length_a 8.308
_cell_length_b 8.312
_cell_length_c 8.955
_cell_angle_alpha 89.05
_cell_angle_beta 62.68
_cell_angle_gamma 60.79
loop_
_symmetry_equiv_pos_as_xyz
'x,y,z'
loop_
_atom_site_label
_atom_site_type_symbol
_atom_site_fract_x
_atom_site_fract_y
_atom_site_fract_z
Li1 Li 0.000 0.000 0.000
Li2 Li 0.027 0.243 0.496
Li3 Li 0.214 0.608 0.727
Li4 Li 0.340 0.412 0.008
Mn1 Mn 0.112 0.828 0.303
Mn2 Mn 0.679 0.535 0.435
V1 V 0.084 0.336 0.829
V2 V 0.697 0.017 0.910
P1 P 0.185 0.940 0.621
P2 P 0.189 0.132 0.118
P3 P 0.598 0.224 0.623
P4 P 0.616 0.417 0.117
P5 P 0.894 0.719 0.121
P6 P 0.895 0.649 0.616
O1 O 0.002 0.817 0.142
O2 O 0.008 0.280 0.291
O3 O 0.022 0.897 0.770
O4 O 0.032 0.675 0.443
O5 O 0.047 0.523 0.684
O6 O 0.086 0.530 0.970
O7 O 0.102 0.157 0.676
O8 O 0.121 0.158 0.978
O9 O 0.176 0.929 0.454
O10 O 0.259 0.926 0.130
O11 O 0.382 0.158 0.053
O12 O 0.386 0.226 0.694
O13 O 0.399 0.805 0.604
O14 O 0.404 0.542 0.123
O15 O 0.529 0.433 0.612
O16 O 0.592 0.459 0.294
O17 O 0.648 0.203 0.776
O18 O 0.706 0.201 0.053
O19 O 0.712 0.845 0.756
O20 O 0.744 0.853 0.054
O21 O 0.767 0.683 0.287
O22 O 0.784 0.075 0.457
O23 O 0.789 0.457 0.978
O24 O 0.804 0.539 0.586
```

Main lines, most intense first (2θ from 10° to 90°):
hkl 1 1 -1, d = 4.455 Å, 2θ 19.93, intensity 100; hkl 2 1 2, d = 3.633 Å, 2θ 24.50, intensity 81; hkl 1 0 0, d = 6.209 Å, 2θ 14.26, intensity 63; hkl 1 1 1, d = 6.111 Å, 2θ 14.49, intensity 60; hkl 0 1 1, d = 4.590 Å, 2θ 19.34, intensity 51; hkl 1 -1 0, d = 3.744 Å, 2θ 23.76, intensity 48

***

# 8
The following is a calculated powder diffraction line list of MgFe6O8F4. It was derived from a structure optimized by DFT (GGA+U), using Cu Kα.

Atomic structure:
```
data_MgFe6O8F4
_symmetry_space_group_name_H-M 'P 1 2 1'
_symmetry_Int_Tables_number 3
_cell_length_a 4.871
_cell_length_b 9.099
_cell_length_c 4.878
_cell_angle_alpha 90.00
_cell_angle_beta 90.11
_cell_angle_gamma 90.00
loop_
_symmetry_equiv_pos_as_xyz
'x,y,z'
'-x,y,-z'
loop_
_atom_site_label
_atom_site_type_symbol
_atom_site_fract_x
_atom_site_fract_y
_atom_site_fract_z
Mg1 Mg 0.000 0.000 0.000
Fe1 Fe 0.000 0.074 0.500
Fe2 Fe 0.000 0.436 0.500
Fe3 Fe 0.000 0.737 0.500
Fe4 Fe 0.500 0.262 0.000
Fe5 Fe 0.500 0.566 0.000
Fe6 Fe 0.500 0.920 0.000
O1 O 0.193 0.913 0.702
O2 O 0.200 0.586 0.700
O3 O 0.301 0.081 0.195
O4 O 0.307 0.413 0.196
F1 F 0.185 0.243 0.695
F2 F 0.307 0.748 0.186
```

Main lines, most intense first (2θ from 10° to 90°):
hkl 1 0 -1, d = 3.447 Å, 2θ 25.85, intensity 100; hkl 1 3 -2, d = 1.770 Å, 2θ 51.63, intensity 66; hkl 0 3 1, d = 2.575 Å, 2θ 34.84, intensity 53; hkl 3 3 0, d = 1.432 Å, 2θ 65.13, intensity 24; hkl 1 3 -1, d = 2.277 Å, 2θ 39.58, intensity 18; hkl 2 0 0, d = 2.437 Å, 2θ 36.88, intensity 15